The following is a simulated powder X-ray diffraction pattern of Zn6Pd. It was derived from a GGA-PBE-relaxed structure, using a wavelength of 1.5418 Å.
Lines closer than 0.1° are merged.

Main lines, most intense first (10 to 90 degrees two-theta):
h k l  Position (°2θ)  Rel. int.
2 0 1  37.90  100.0
1 1 3  39.68  70.0
2 1 2  45.90  46.2
2 1 1  42.27  37.0
3 1 4  74.08  34.3
0 0 3  29.80  28.4
2 2 0  52.59  24.9
1 1 2  32.53  22.2
1 1 4  48.18  19.1
0 0 4  40.10  18.5

Structural model:
Cell lengths 4.922, 4.922, 8.994 Å; angles 90.00, 90.00, 90.00 degrees
Space group P4/nbm (No. 125, origin choice 2)
Unique sites:
Zn  0.072  0.572  0.141 (multiplicity 8)
Zn  0.250  0.250  0.363 (multiplicity 4)
Pd  0.250  0.750  0.500 (multiplicity 2)